[1]
This entry pairs a crystal structure of Sr10Mg2Fe3Mo5O30 with its theoretical powder diffractogram. Radiation: Cu Kα (λ = 1.5418 Å). Structure: a DFT-relaxed cell (PBE+U, the Materials Project).

Top 10 peaks for 2θ from 10° to 90°, most intense first:
2theta  intensity
31.50  100.0
31.81  35.2
31.79  35.2
31.58  33.2
55.95  27.8
56.39  27.6
44.77  26.2
45.46  23.3
45.72  22.8
56.57  20.1

Structural model:
```
Sr10Mg2Fe3Mo5O30
1.0
7.938 0.000 0.000
3.968 8.951 0.000
3.961 -0.106 9.026
Sr Mg Fe Mo O
10 2 3 5 30
direct
0.048 0.101 0.299
0.156 0.297 0.898
0.262 0.501 0.500
0.350 0.705 0.102
0.446 0.901 0.700
0.554 0.099 0.300
0.650 0.295 0.898
0.738 0.499 0.500
0.844 0.703 0.102
0.952 0.899 0.701
0.300 0.601 0.800
0.700 0.399 0.200
0.102 0.198 0.600
0.500 0.000 0.000
0.898 0.802 0.400
0.000 0.000 0.000
0.198 0.404 0.202
0.399 0.800 0.399
0.601 0.200 0.601
0.802 0.596 0.798
0.048 0.103 0.799
0.063 0.569 0.785
0.092 0.596 0.303
0.106 0.809 0.905
0.133 0.832 0.416
0.146 0.307 0.397
0.242 0.504 0.014
0.275 0.970 0.983
0.287 0.007 0.495
0.304 0.209 0.105
0.334 0.230 0.614
0.346 0.705 0.598
0.451 0.900 0.198
0.463 0.368 0.185
0.486 0.396 0.703
0.514 0.604 0.297
0.537 0.632 0.815
0.549 0.100 0.802
0.654 0.295 0.402
0.666 0.770 0.386
0.696 0.791 0.895
0.713 0.993 0.505
0.725 0.030 0.017
0.758 0.496 0.986
0.854 0.693 0.603
0.867 0.168 0.584
0.894 0.191 0.095
0.908 0.404 0.697
0.937 0.431 0.215
0.952 0.897 0.201
```

[2]
This entry pairs a crystal structure of BaNd2Mo4O16 with its theoretical powder diffractogram. Radiation: Cu Kα (λ = 1.5418 Å). Structure: a DFT-relaxed cell (PBE+U, the Materials Project).

Top 10 peaks for 2θ from 10° to 90°, most intense first:
2theta  intensity
28.49  100.0
25.61  96.4
25.06  90.7
29.10  83.9
26.79  78.9
26.66  76.8
27.75  75.8
32.93  73.9
28.00  73.1
30.50  70.4

Structural model:
```
BaNd2Mo4O16
1.0
2.721 -6.484 0.000
2.721 6.484 0.000
-0.455 0.000 19.716
Ba Nd Mo O
2 4 8 32
direct
0.032 0.968 0.750
0.968 0.032 0.250
0.146 0.850 0.534
0.150 0.854 0.966
0.850 0.146 0.034
0.854 0.150 0.466
0.256 0.735 0.151
0.265 0.744 0.349
0.433 0.548 0.908
0.452 0.567 0.592
0.548 0.433 0.408
0.567 0.452 0.092
0.735 0.256 0.651
0.744 0.265 0.849
0.017 0.738 0.176
0.086 0.601 0.431
0.094 0.391 0.137
0.095 0.485 0.288
0.184 0.523 0.953
0.225 0.314 0.396
0.232 0.265 0.536
0.262 0.983 0.324
0.265 0.232 0.036
0.300 0.464 0.670
0.314 0.225 0.896
0.391 0.094 0.637
0.399 0.914 0.069
0.464 0.300 0.170
0.477 0.816 0.547
0.485 0.095 0.788
0.515 0.905 0.212
0.523 0.184 0.453
0.536 0.700 0.830
0.601 0.086 0.931
0.609 0.906 0.363
0.686 0.775 0.104
0.700 0.536 0.330
0.735 0.768 0.964
0.738 0.017 0.676
0.768 0.735 0.464
0.775 0.686 0.604
0.816 0.477 0.047
0.905 0.515 0.712
0.906 0.609 0.863
0.914 0.399 0.569
0.983 0.262 0.824
```

[3]
This entry pairs a crystal structure of V3CoSb2P6O24 with its theoretical powder diffractogram. Radiation: Cu Kα (λ = 1.5418 Å). Structure: a DFT-relaxed cell (PBE+U, the Materials Project).

Top 10 peaks for 2θ from 10° to 90°, most intense first:
2theta  intensity
20.39  100.0
32.00  94.5
23.79  66.6
35.71  38.6
48.70  34.0
24.97  29.5
45.97  28.1
55.85  25.2
61.83  24.7
14.26  23.5

Structural model:
```
V3CoSb2P6O24
1.0
4.355 2.514 7.298
-4.355 2.514 7.298
0.000 -5.029 7.298
V Co Sb P O
3 1 2 6 24
direct
0.000 0.000 0.000
0.207 0.207 0.207
0.704 0.704 0.704
0.504 0.504 0.504
0.360 0.360 0.360
0.856 0.856 0.856
0.099 0.812 0.391
0.310 0.600 0.893
0.391 0.099 0.812
0.600 0.893 0.310
0.812 0.391 0.099
0.893 0.310 0.600
0.043 0.852 0.233
0.085 0.287 0.438
0.117 0.772 0.919
0.154 0.968 0.357
0.233 0.043 0.852
0.264 0.620 0.408
0.287 0.438 0.085
0.332 0.555 0.739
0.357 0.154 0.968
0.408 0.264 0.620
0.438 0.085 0.287
0.468 0.654 0.858
0.555 0.739 0.332
0.582 0.933 0.790
0.620 0.408 0.264
0.654 0.858 0.468
0.739 0.332 0.555
0.772 0.919 0.117
0.790 0.582 0.933
0.852 0.233 0.043
0.858 0.468 0.654
0.919 0.117 0.772
0.933 0.790 0.582
0.968 0.357 0.154
```

[4]
This entry pairs a crystal structure of LiMn3B3O9 with its theoretical powder diffractogram. Radiation: Cu Kα (λ = 1.5418 Å). Structure: a DFT-relaxed cell (PBE+U, the Materials Project).

Top 10 peaks for 2θ from 10° to 90°, most intense first:
2theta  intensity
19.48  100.0
22.43  89.9
22.26  79.5
35.26  76.1
33.35  49.2
20.34  36.1
36.98  35.5
20.70  29.9
41.37  28.2
34.31  24.1

Structural model:
```
LiMn3B3O9
1.0
6.174 0.000 0.000
-0.880 7.717 0.000
-2.722 -3.714 7.842
Li Mn B O
2 6 6 18
direct
0.156 0.329 0.056
0.844 0.671 0.944
0.154 0.398 0.410
0.201 0.968 0.288
0.465 0.720 0.061
0.535 0.280 0.939
0.799 0.032 0.712
0.846 0.602 0.590
0.113 0.362 0.726
0.191 0.961 0.940
0.442 0.696 0.379
0.558 0.304 0.621
0.809 0.039 0.060
0.887 0.638 0.274
0.027 0.890 0.773
0.034 0.817 0.362
0.117 0.480 0.639
0.178 0.843 0.025
0.266 0.431 0.894
0.291 0.516 0.288
0.339 0.139 0.022
0.392 0.251 0.459
0.446 0.827 0.309
0.554 0.173 0.691
0.608 0.749 0.541
0.661 0.861 0.978
0.709 0.484 0.712
0.734 0.569 0.106
0.822 0.157 0.975
0.883 0.520 0.361
0.966 0.183 0.638
0.973 0.110 0.227
```

[5]
This entry pairs a crystal structure of Na6NiO4 with its theoretical powder diffractogram. Radiation: Cu Kα (λ = 1.5418 Å). Structure: a DFT-relaxed cell (PBE+U, the Materials Project).

Top 10 peaks for 2θ from 10° to 90°, most intense first:
2theta  intensity
47.83  100.0
20.12  92.7
39.67  89.4
31.31  88.0
48.60  64.8
33.83  55.6
28.90  42.0
32.79  38.0
57.61  36.6
42.70  31.6

Structural model:
```
Na6NiO4
1.0
5.462 0.000 0.000
0.004 10.592 0.000
0.003 0.013 10.605
Na Ni O
24 4 16
direct
0.000 0.000 0.000
0.000 0.003 0.425
0.000 0.289 0.713
0.000 0.714 0.712
0.001 0.214 0.213
0.001 0.500 0.925
0.001 0.503 0.500
0.002 0.789 0.213
0.094 0.250 0.963
0.095 0.753 0.462
0.406 0.253 0.461
0.407 0.750 0.964
0.499 0.289 0.212
0.500 0.000 0.925
0.500 0.714 0.214
0.501 0.003 0.499
0.501 0.500 0.000
0.501 0.503 0.425
0.502 0.214 0.711
0.502 0.788 0.714
0.594 0.250 0.961
0.595 0.753 0.464
0.906 0.253 0.463
0.907 0.749 0.962
0.005 0.001 0.713
0.498 0.501 0.713
0.502 0.002 0.212
0.997 0.501 0.213
0.177 0.126 0.588
0.177 0.877 0.837
0.179 0.381 0.334
0.180 0.622 0.092
0.319 0.122 0.092
0.322 0.881 0.334
0.325 0.626 0.589
0.326 0.376 0.836
0.676 0.126 0.336
0.676 0.876 0.088
0.680 0.381 0.591
0.681 0.621 0.834
0.822 0.122 0.834
0.822 0.881 0.592
0.824 0.377 0.088
0.824 0.626 0.337
```

[6]
This entry pairs a crystal structure of Li9Mn2Co5O16 with its theoretical powder diffractogram. Radiation: Cu Kα (λ = 1.5418 Å). Structure: a DFT-relaxed cell (PBE+U, the Materials Project).

Top 10 peaks for 2θ from 10° to 90°, most intense first:
2theta  intensity
18.32  100.0
42.58  29.5
43.39  27.8
44.75  24.9
35.73  15.2
35.42  14.6
36.86  11.2
62.31  8.0
62.52  7.7
62.72  7.3

Structural model:
```
Li9Mn2Co5O16
1.0
5.807 0.000 0.000
-1.434 6.436 0.000
-1.084 -0.291 7.680
Li Mn Co O
9 2 5 16
direct
0.000 0.000 0.000
0.002 0.500 0.496
0.235 0.738 0.233
0.258 0.263 0.754
0.504 0.996 0.000
0.507 0.500 0.498
0.620 0.621 0.870
0.730 0.739 0.221
0.746 0.263 0.749
0.379 0.871 0.623
0.874 0.868 0.623
0.118 0.623 0.876
0.132 0.130 0.367
0.376 0.379 0.114
0.634 0.131 0.367
0.868 0.377 0.113
0.040 0.316 0.933
0.085 0.826 0.453
0.174 0.932 0.786
0.189 0.424 0.290
0.306 0.588 0.685
0.317 0.080 0.193
0.420 0.665 0.053
0.440 0.167 0.549
0.550 0.313 0.948
0.580 0.821 0.455
0.672 0.934 0.782
0.703 0.430 0.302
0.810 0.063 0.194
0.821 0.588 0.679
0.939 0.166 0.547
0.942 0.685 0.047
```